1.
The following is a computed powder X-ray diffraction pattern of Th2MnN3. It was derived from a DFT-relaxed cell (GGA-PBE, the Materials Project), using Cu Kα (weighted mean of Kα1 and Kα2).
Kinematic intensities with the Lorentz-polarization factor, no thermal factor.

```
data_Th2MnN3
_symmetry_space_group_name_H-M 'I m m m'
_symmetry_Int_Tables_number 71
_symmetry_space_group_name_Hall '-I 2 2'
_cell_length_a 3.5476
_cell_length_b 3.8577
_cell_length_c 12.7096
_cell_angle_alpha 90.00
_cell_angle_beta 90.00
_cell_angle_gamma 90.00
loop_
_atom_site_label
_atom_site_type_symbol
_atom_site_fract_x
_atom_site_fract_y
_atom_site_fract_z
Th1 Th 0.0000 0.0000 0.1443
Mn1 Mn 0.0000 0.0000 0.5000
N1 N 0.0000 0.0000 0.3373
N2 N 0.0000 0.5000 0.5000
```

Largest 10 diffraction maxima, by angle, 2θ from 10° to 90°:
24.1 deg, I = 43; 26.1 deg, I = 26; 28.1 deg, I = 36; 31.4 deg, I = 84; 32.9 deg, I = 85; 34.3 deg, I = 100; 44.9 deg, I = 49; 55.9 deg, I = 40; 58.7 deg, I = 34; 61.6 deg, I = 27

***

2.
The following is a computed powder X-ray diffraction pattern of TiMn4N4. It was derived from a DFT-relaxed cell (GGA-PBE, the Materials Project), using Cu Kα (weighted mean of Kα1 and Kα2).
Kinematic intensities with the Lorentz-polarization factor, no thermal factor.

```
data_TiMn4N4
_symmetry_space_group_name_H-M 'P -1'
_symmetry_Int_Tables_number 2
_symmetry_space_group_name_Hall '-P 1'
_cell_length_a 5.0331
_cell_length_b 5.3403
_cell_length_c 7.6846
_cell_angle_alpha 78.89
_cell_angle_beta 73.50
_cell_angle_gamma 65.88
loop_
_atom_site_label
_atom_site_type_symbol
_atom_site_fract_x
_atom_site_fract_y
_atom_site_fract_z
Ti1 Ti 0.0852 0.2807 0.1968
Mn1 Mn 0.0375 0.7584 0.4067
Mn2 Mn 0.2615 0.7585 0.0329
Mn3 Mn 0.3579 0.1883 0.7944
Mn4 Mn 0.4616 0.7442 0.5818
N1 N 0.1159 0.9735 0.8102
N2 N 0.2265 0.4947 0.6005
N3 N 0.3000 0.0419 0.3868
N4 N 0.3158 0.4081 0.9679
```

Largest 10 diffraction maxima, by angle, 2θ from 10° to 90°:
36.9 deg, I = 41; 37.0 deg, I = 100; 39.3 deg, I = 44; 41.6 deg, I = 55; 42.3 deg, I = 53; 46.9 deg, I = 38; 59.1 deg, I = 15; 62.6 deg, I = 16; 63.0 deg, I = 15; 63.4 deg, I = 14

***

3.
The following is a computed powder X-ray diffraction pattern of MnVN2. It was derived from a DFT-relaxed cell (GGA-PBE, the Materials Project), using Cu Kα (weighted mean of Kα1 and Kα2).
Kinematic intensities with the Lorentz-polarization factor, no thermal factor.

```
data_MnVN2
_symmetry_space_group_name_H-M 'P n a 21'
_symmetry_Int_Tables_number 33
_symmetry_space_group_name_Hall 'P 2c -2n'
_cell_length_a 5.2638
_cell_length_b 6.0464
_cell_length_c 5.3588
_cell_angle_alpha 90.00
_cell_angle_beta 90.00
_cell_angle_gamma 90.00
loop_
_atom_site_label
_atom_site_type_symbol
_atom_site_fract_x
_atom_site_fract_y
_atom_site_fract_z
Mn1 Mn 0.0908 0.1284 0.0000
V1 V 0.0819 0.6271 0.0021
N1 N 0.0791 0.6222 0.3513
N2 N 0.0854 0.1236 0.3568
```

Largest 10 diffraction maxima, by angle, 2θ from 10° to 90°:
33.4 deg, I = 62; 34.1 deg, I = 22; 34.2 deg, I = 52; 38.1 deg, I = 55; 38.2 deg, I = 100; 48.6 deg, I = 21; 61.1 deg, I = 29; 61.3 deg, I = 14; 62.9 deg, I = 58; 71.4 deg, I = 22